The following is a simulated PXRD pattern of ZrSc3Sn2N2. It was derived from a DFT-relaxed cell (PBE, OQMD), using copper Kα.
Neutral-atom scattering factors, no anomalous dispersion.

Top 6 peaks for 10° ≤ 2θ ≤ 90°, sorted by position:
- 31.34 deg, I = 20
- 36.53 deg, I = 100
- 37.08 deg, I = 19
- 49.32 deg, I = 17
- 55.79 deg, I = 21
- 68.90 deg, I = 18

Cell lengths 3.2955, 3.2955, 14.5480 Å; angles 90.00, 90.00, 120.00 degrees
Positions (direct):
Zr1 0.0000 0.0000 0.0000
Sc1 0.0000 0.0000 0.6669
Sc2 0.6667 0.3333 0.1675
Sc3 0.6667 0.3333 0.5038
Sn1 0.0000 0.0000 0.3358
Sn2 0.6667 0.3333 0.8331
N1 0.3333 0.6667 0.0897
N2 0.3333 0.6667 0.5847

The following is a simulated PXRD pattern of Li5Cu4P6. It was derived from a DFT-relaxed cell (PBE, OQMD), using copper Kα.
Neutral-atom scattering factors, no anomalous dispersion.

Top 6 peaks for 10° ≤ 2θ ≤ 90°, sorted by position:
- 14.13 deg, I = 87
- 20.39 deg, I = 58
- 24.90 deg, I = 57
- 25.33 deg, I = 50
- 37.93 deg, I = 100
- 53.08 deg, I = 62

Cell lengths 7.8708, 7.8708, 7.8708 Å; angles 151.74, 112.82, 74.42 degrees
Positions (direct):
Li1 0.0000 0.0000 0.0000
Li2 0.2758 0.2758 0.0000
Li3 0.3288 0.5000 0.8288
Li4 0.6712 0.5000 0.1712
Li5 0.7242 0.7242 0.0000
Cu1 0.0943 0.8269 0.2673
Cu2 0.4404 0.1731 0.2673
Cu3 0.5596 0.8269 0.7327
Cu4 0.9057 0.1731 0.7327
P1 0.0225 0.6466 0.3760
P2 0.2706 0.6466 0.6240
P3 0.4137 0.9137 0.5000
P4 0.5863 0.0863 0.5000
P5 0.7294 0.3534 0.3760
P6 0.9775 0.3534 0.6240